# 1
Diffraction record for ZnGeSeO. The PXRD pattern is computed, not measured: it uses a crystal structure in OQMD, relaxed with GGA-PBE and Cu Kα (λ = 1.5418 Å).

The 8 most intense peaks (2θ = 15–90°), sorted by position:
2θ (°)  I/Imax  hkl
22.2  539  0 0 2
25.8  348  0 1 2
28.4  1000  0 2 1
30.4  286  1 1 2
32.1  618  2 0 0
43.0  897  0 2 3
43.3  347  2 2 1
54.6  489  2 2 3

Cell and atoms:
```
16
Lattice="5.583 0.000 0.000 0.000 6.843 0.000 0.000 0.000 8.002" Properties=species:S:1:pos:R:3 pbc="T T T"
Zn 0.146 0.777 0.779
Zn 2.646 6.066 4.780
Zn 2.937 2.644 7.223
Zn 5.437 4.199 3.222
Ge 0.342 0.954 3.270
Ge 2.449 5.890 7.271
Ge 3.134 2.468 4.732
Ge 5.241 4.375 0.731
Se 0.436 2.636 7.192
Se 2.356 4.207 3.191
Se 3.228 0.786 0.810
Se 5.147 6.057 4.811
O 0.726 5.798 0.118
O 2.065 1.045 4.119
O 3.518 4.467 7.884
O 4.857 2.376 3.883
```

# 2
Diffraction record for ZnGeSeO. The PXRD pattern is computed, not measured: it uses a crystal structure in OQMD, relaxed with GGA-PBE and Cu Kα (λ = 1.5418 Å).

The 8 most intense peaks (2θ = 15–90°), sorted by position:
2θ (°)  I/Imax  hkl
29.9  349  1 2 1
30.1  781  0 3 0
31.0  1000  2 0 0
31.7  971  0 0 2
43.8  497  2 3 0
44.3  479  0 3 2
44.9  536  2 0 2
55.0  466  2 3 2

Cell and atoms:
```
16
Lattice="5.771 0.000 0.000 0.000 8.897 0.000 0.000 0.000 5.645" Properties=species:S:1:pos:R:3 pbc="T T T"
Zn 0.595 0.713 0.000
Zn 2.290 0.713 2.822
Zn 3.481 8.184 0.000
Zn 5.176 8.184 2.822
Ge 0.026 6.078 0.590
Ge 2.859 6.078 3.412
Ge 2.912 2.818 0.590
Ge 5.745 2.818 3.412
Se 0.171 6.002 3.618
Se 2.715 6.002 0.796
Se 3.056 2.895 3.618
Se 5.600 2.895 0.796
O 0.412 0.795 3.615
O 2.474 0.795 0.793
O 3.297 8.102 3.615
O 5.360 8.102 0.793
```

# 3
Diffraction record for ZnGeTeO. The PXRD pattern is computed, not measured: it uses a crystal structure in OQMD, relaxed with GGA-PBE and Cu Kα (λ = 1.5418 Å).

The 8 most intense peaks (2θ = 15–90°), sorted by position:
2θ (°)  I/Imax  hkl
27.9  667  1 3 1
28.9  509  1 2 2
31.2  1000  0 4 1
33.3  831  1 3 2
34.6  582  2 0 2
41.0  679  1 3 3
42.0  629  0 0 4
46.9  587  3 0 2

Cell and atoms:
```
32
Lattice="6.507 0.000 0.000 0.000 12.179 0.000 0.000 0.000 8.591" Properties=species:S:1:pos:R:3 pbc="T T T"
Zn 0.330 1.693 1.547
Zn 0.330 4.396 5.843
Zn 2.923 7.782 1.547
Zn 2.923 10.486 5.843
Zn 3.584 1.693 2.749
Zn 3.584 4.396 7.044
Zn 6.177 7.782 2.749
Zn 6.177 10.486 7.044
Ge 1.366 1.958 7.803
Ge 1.366 4.131 3.507
Ge 1.887 8.048 7.803
Ge 1.887 10.220 3.507
Ge 4.620 1.958 5.084
Ge 4.620 4.131 0.789
Ge 5.141 8.048 5.084
Ge 5.141 10.220 0.789
Te 0.385 0.620 5.714
Te 0.385 5.469 1.418
Te 2.868 6.709 5.714
Te 2.868 11.559 1.418
Te 3.639 0.620 7.173
Te 3.639 5.469 2.877
Te 6.122 6.709 7.173
Te 6.122 11.559 2.877
O 1.505 8.608 2.709
O 1.505 9.660 7.005
O 1.748 2.519 2.709
O 1.748 3.571 7.005
O 4.759 8.608 1.587
O 4.759 9.660 5.882
O 5.001 2.519 1.587
O 5.001 3.571 5.882
```